Starting from a PBE-relaxed structure, the X-ray powder pattern of NbGeRh was simulated for Cu Kα, 1.54184 Å.

Principal peaks in the range 2θ = 10–90°, sorted by position:
| 2θ/deg | I (rel.) |
| --- | --- |
| 36.05 | 100 |
| 38.04 | 75 |
| 38.54 | 23 |
| 43.02 | 39 |
| 43.42 | 23 |
| 45.33 | 22 |
| 46.87 | 38 |
| 48.48 | 23 |
| 62.22 | 16 |
| 69.72 | 15 |
| 70.68 | 18 |
| 78.58 | 14 |

Crystal structure
```
NbGeRh
1.0
6.5074 0.0000 0.0000
0.0000 3.8767 0.0000
0.0000 0.0000 7.5079
Nb Ge Rh
4 4 4
Direct
0.0280 0.2500 0.1783
0.4720 0.7500 0.6783
0.5280 0.2500 0.3217
0.9720 0.7500 0.8217
0.2395 0.7500 0.3763
0.2605 0.2500 0.8763
0.7395 0.7500 0.1237
0.7605 0.2500 0.6237
0.1445 0.2500 0.5623
0.3555 0.7500 0.0623
0.6445 0.2500 0.9377
0.8555 0.7500 0.4377
```


Starting from a PBE-relaxed structure, the X-ray powder pattern of LuTa5Ag2O15 was simulated for Cu Kα, 1.54184 Å.

Principal peaks in the range 2θ = 10–90°, sorted by position:
| 2θ/deg | I (rel.) |
| --- | --- |
| 22.73 | 27 |
| 25.54 | 38 |
| 27.78 | 51 |
| 29.28 | 70 |
| 30.44 | 25 |
| 31.83 | 44 |
| 32.10 | 100 |
| 34.45 | 30 |
| 45.63 | 19 |
| 46.42 | 28 |
| 55.84 | 23 |
| 56.88 | 42 |

Crystal structure
```
LuTa5Ag2O15
1.0
12.5744 0.0000 0.0000
0.0000 12.5744 0.0000
0.0000 0.0000 3.9123
Lu Ta Ag O
2 10 4 30
Direct
0.0000 0.0000 0.0000
0.5000 0.5000 0.0000
0.0000 0.5000 0.5000
0.0787 0.2105 0.5000
0.2105 0.9213 0.5000
0.2895 0.4213 0.5000
0.4213 0.7105 0.5000
0.5000 0.0000 0.5000
0.5787 0.2895 0.5000
0.7105 0.5787 0.5000
0.7895 0.0787 0.5000
0.9213 0.7895 0.5000
0.1722 0.6722 0.0000
0.3278 0.1722 0.0000
0.6722 0.8278 0.0000
0.8278 0.3278 0.0000
0.0000 0.5000 0.0000
0.0014 0.6592 0.5000
0.0562 0.8712 0.5000
0.0800 0.1882 0.0000
0.1288 0.0562 0.5000
0.1592 0.5014 0.5000
0.1882 0.9200 0.0000
0.2255 0.2745 0.5000
0.2745 0.7745 0.5000
0.3118 0.4200 0.0000
0.3408 0.0014 0.5000
0.3712 0.5562 0.5000
0.4200 0.6882 0.0000
0.4438 0.3712 0.5000
0.4986 0.1592 0.5000
0.5000 0.0000 0.0000
0.5014 0.8408 0.5000
0.5562 0.6288 0.5000
0.5800 0.3118 0.0000
0.6288 0.4438 0.5000
0.6592 0.9986 0.5000
0.6882 0.5800 0.0000
0.7255 0.2255 0.5000
0.7745 0.7255 0.5000
0.8118 0.0800 0.0000
0.8408 0.4986 0.5000
0.8712 0.9438 0.5000
0.9200 0.8118 0.0000
0.9438 0.1288 0.5000
0.9986 0.3408 0.5000
```


Starting from a PBE-relaxed structure, the X-ray powder pattern of BaYSc was simulated for Cu Kα, 1.54184 Å.

Principal peaks in the range 2θ = 10–90°, sorted by position:
| 2θ/deg | I (rel.) |
| --- | --- |
| 19.18 | 12 |
| 22.18 | 53 |
| 31.57 | 100 |
| 37.20 | 7 |
| 38.92 | 17 |
| 45.24 | 18 |
| 50.94 | 23 |
| 56.21 | 37 |
| 65.91 | 11 |
| 70.48 | 11 |
| 74.92 | 16 |
| 79.27 | 6 |

Crystal structure
```
BaYSc
1.0
0.0000 4.0085 4.0085
4.0085 0.0000 4.0085
4.0085 4.0085 0.0000
Ba Y Sc
1 1 1
Direct
0.0000 0.0000 0.0000
0.5000 0.5000 0.5000
0.7500 0.7500 0.7500
```


Starting from a PBE-relaxed structure, the X-ray powder pattern of Na2ThF6 was simulated for Cu Kα, 1.54184 Å.

Principal peaks in the range 2θ = 10–90°, sorted by position:
| 2θ/deg | I (rel.) |
| --- | --- |
| 15.22 | 66 |
| 17.47 | 100 |
| 22.92 | 52 |
| 26.81 | 62 |
| 27.90 | 58 |
| 30.97 | 42 |
| 31.70 | 19 |
| 39.49 | 24 |
| 41.22 | 22 |
| 45.45 | 60 |
| 46.81 | 22 |
| 52.90 | 20 |

Crystal structure
```
Na2ThF6
1.0
-2.0581 2.8209 5.8221
2.0581 -2.8209 5.8221
2.0581 2.8209 -5.8221
Na Th F
2 1 6
Direct
0.1729 0.1729 0.0000
0.8271 0.8271 0.0000
0.5000 0.5000 0.0000
0.1008 0.3443 0.7564
0.2718 0.0000 0.2718
0.4121 0.6557 0.7564
0.5879 0.3443 0.2436
0.7282 0.0000 0.7282
0.8992 0.6557 0.2436
```


Starting from a PBE-relaxed structure, the X-ray powder pattern of AcSe3 was simulated for Cu Kα, 1.54184 Å.

Principal peaks in the range 2θ = 10–90°, sorted by position:
| 2θ/deg | I (rel.) |
| --- | --- |
| 16.31 | 13 |
| 22.01 | 26 |
| 32.15 | 10 |
| 32.97 | 26 |
| 33.47 | 100 |
| 41.51 | 28 |
| 54.00 | 26 |
| 59.19 | 19 |
| 60.15 | 9 |
| 70.32 | 12 |
| 70.62 | 23 |
| 89.44 | 13 |

Crystal structure
```
AcSe3
1.0
-2.1755 2.1755 5.4341
2.1755 -2.1755 5.4341
2.1755 2.1755 -5.4341
Ac Se
1 3
Direct
0.0000 0.0000 0.0000
0.2500 0.7500 0.5000
0.5000 0.5000 0.0000
0.7500 0.2500 0.5000
```